Record 1
The following is a calculated X-ray powder pattern of Li4V3Fe3Sb2O16. It was derived from a DFT-relaxed cell (PBE+U, the Materials Project), using copper Kα.

Top 8 peaks for 2θ = 10–80°, by angle:
Position (°2θ)  d [Å]  I (rel.)  (hkl)
19.3  4.601  30  0 1 -1
19.5  4.548  100  0 1 1
19.6  4.522  70  -1 1 1
25.1  3.542  30  1 0 -2
32.6  2.743  39  1 0 3
35.1  2.556  46  1 -2 2
35.4  2.533  36  1 1 2
35.6  2.520  31  2 -1 2

Atomic structure:
```
data_Li4V3Fe3Sb2O16
_chemical_formula_sum 'Li4 V3 Fe3 Sb2 O16'
_cell_length_a 5.8819
_cell_length_b 5.9547
_cell_length_c 9.7791
_cell_angle_alpha 90.58
_cell_angle_beta 90.00
_cell_angle_gamma 119.49
_space_group_name_H-M_alt 'P 1'
_space_group_IT_number 1
loop_
_space_group_symop_operation_xyz
'x,y,z'
loop_
_atom_site_label
_atom_site_fract_x
_atom_site_fract_y
_atom_site_fract_z
_atom_site_occupancy
Li1 0.0000 0.0000 0.0000 1
Li2 0.0008 0.0010 0.4996 1
Li3 0.3398 0.6769 0.0917 1
Li4 0.6751 0.3479 0.5902 1
V1 0.1815 0.8292 0.7732 1
V2 0.6480 0.8307 0.7717 1
V3 0.8304 0.6594 0.2657 1
Fe1 0.1694 0.3396 0.7768 1
Fe2 0.3510 0.1657 0.2802 1
Fe3 0.8158 0.1655 0.2803 1
Sb1 0.3328 0.6650 0.4963 1
Sb2 0.6685 0.3358 0.9994 1
O1 0.0440 0.5369 0.6441 1
O2 0.1650 0.3303 0.3958 1
O3 0.1689 0.8370 0.3934 1
O4 0.3289 0.1604 0.8951 1
O5 0.3502 0.6895 0.8856 1
O6 0.4886 0.9725 0.6425 1
O7 0.4942 0.5362 0.6434 1
O8 0.5243 0.0447 0.1388 1
O9 0.5289 0.4949 0.1425 1
O10 0.6676 0.8362 0.3930 1
O11 0.6923 0.3808 0.3831 1
O12 0.8329 0.1617 0.8943 1
O13 0.8342 0.6678 0.8907 1
O14 0.9683 0.4954 0.1424 1
O15 0.9882 0.9798 0.6896 1
O16 0.9900 0.9805 0.1896 1
```

Record 2
The following is a calculated X-ray powder pattern of Li4V3Fe3Sb2O16. It was derived from a DFT-relaxed cell (PBE+U, the Materials Project), using copper Kα.

Top 8 peaks for 2θ = 10–80°, by angle:
Position (°2θ)  d [Å]  I (rel.)  (hkl)
19.2  4.630  51  0 1 -1
19.4  4.582  100  1 -1 1
24.8  3.592  19  1 0 -2
32.2  2.781  20  1 0 -3
34.9  2.568  24  1 -2 2
35.2  2.550  39  1 1 2
35.8  2.511  30  -2 2 1
61.8  1.502  23  4 -2 0

Atomic structure:
```
data_Li4V3Fe3Sb2O16
_chemical_formula_sum 'Li4 V3 Fe3 Sb2 O16'
_cell_length_a 6.0039
_cell_length_b 6.0087
_cell_length_c 9.7774
_cell_angle_alpha 90.51
_cell_angle_beta 90.41
_cell_angle_gamma 119.68
_space_group_name_H-M_alt 'P 1'
_space_group_IT_number 1
loop_
_space_group_symop_operation_xyz
'x,y,z'
loop_
_atom_site_label
_atom_site_fract_x
_atom_site_fract_y
_atom_site_fract_z
_atom_site_occupancy
Li1 0.0000 0.0000 0.0000 1
Li2 0.0022 0.0054 0.4997 1
Li3 0.3191 0.6581 0.4102 1
Li4 0.6513 0.3261 0.9123 1
V1 0.1685 0.3481 0.7300 1
V2 0.1715 0.8292 0.7236 1
V3 0.3417 0.1725 0.2308 1
Fe1 0.6584 0.8355 0.7218 1
Fe2 0.8263 0.6576 0.2212 1
Fe3 0.8299 0.1753 0.2220 1
Sb1 0.3319 0.6728 0.0010 1
Sb2 0.6689 0.3376 0.5002 1
O1 0.0198 0.0217 0.3109 1
O2 0.0206 0.0252 0.8110 1
O3 0.0279 0.5080 0.8568 1
O4 0.1644 0.3391 0.1075 1
O5 0.1646 0.8365 0.1047 1
O6 0.3031 0.6323 0.6165 1
O7 0.3367 0.1733 0.6069 1
O8 0.4598 0.9587 0.8586 1
O9 0.4642 0.5100 0.8588 1
O10 0.5010 0.4668 0.3591 1
O11 0.5055 0.0344 0.3559 1
O12 0.6230 0.3007 0.1167 1
O13 0.6661 0.8434 0.1017 1
O14 0.8367 0.1722 0.6036 1
O15 0.8433 0.6738 0.5997 1
O16 0.9522 0.4672 0.3581 1
```

Record 3
The following is a calculated X-ray powder pattern of Li4V2Fe3Sb3O16. It was derived from a DFT-relaxed cell (PBE+U, the Materials Project), using copper Kα.

Top 8 peaks for 2θ = 10–80°, by angle:
Position (°2θ)  d [Å]  I (rel.)  (hkl)
18.2  4.885  100  0 0 2
18.7  4.739  52  1 0 -1
19.0  4.673  28  -1 1 1
34.5  2.599  29  2 0 -1
34.6  2.595  22  0 2 -1
34.8  2.576  22  0 2 1
35.0  2.564  30  2 0 1
44.3  2.045  23  2 0 3

Atomic structure:
```
data_Li4V2Fe3Sb3O16
_chemical_formula_sum 'Li4 V2 Fe3 Sb3 O16'
_cell_length_a 6.1354
_cell_length_b 6.1440
_cell_length_c 9.7737
_cell_angle_alpha 90.19
_cell_angle_beta 91.11
_cell_angle_gamma 119.20
_space_group_name_H-M_alt 'P 1'
_space_group_IT_number 1
loop_
_space_group_symop_operation_xyz
'x,y,z'
loop_
_atom_site_label
_atom_site_fract_x
_atom_site_fract_y
_atom_site_fract_z
_atom_site_occupancy
Li1 0.0000 0.0000 0.0000 1
Li2 0.0110 0.0029 0.5155 1
Li3 0.3530 0.6721 0.8951 1
Li4 0.6759 0.3363 0.4135 1
V1 0.3758 0.6918 0.5113 1
V2 0.7211 0.3571 0.9881 1
Fe1 0.6914 0.8444 0.2271 1
Fe2 0.8598 0.1837 0.7252 1
Fe3 0.8612 0.6765 0.7244 1
Sb1 0.1974 0.3514 0.2272 1
Sb2 0.1968 0.8452 0.2262 1
Sb3 0.3697 0.1831 0.7264 1
O1 0.0428 0.0291 0.8197 1
O2 0.0451 0.0242 0.3299 1
O3 0.0622 0.5342 0.3497 1
O4 0.1983 0.3428 0.6128 1
O5 0.2070 0.8648 0.6096 1
O6 0.3416 0.6680 0.1129 1
O7 0.3443 0.1695 0.1150 1
O8 0.4927 0.5172 0.3517 1
O9 0.4949 0.9725 0.3498 1
O10 0.5324 0.4733 0.8623 1
O11 0.5468 0.0474 0.8521 1
O12 0.6804 0.3311 0.6151 1
O13 0.6965 0.8549 0.6077 1
O14 0.8830 0.1912 0.1135 1
O15 0.8849 0.6994 0.1130 1
O16 0.9845 0.4812 0.8565 1
```

Record 4
The following is a calculated X-ray powder pattern of Li4FeSbW2O12. It was derived from a DFT-relaxed cell (PBE+U, the Materials Project), using copper Kα.

Top 8 peaks for 2θ = 10–80°, by angle:
Position (°2θ)  d [Å]  I (rel.)  (hkl)
20.9  4.259  15  1 0 1
23.7  3.749  100  1 1 0
32.9  2.720  39  1 1 2
34.7  2.588  27  1 1 -2
42.4  2.130  15  2 0 2
48.6  1.875  18  2 -2 0
53.6  1.711  27  2 2 2
55.9  1.645  15  1 1 -4

Atomic structure:
```
data_Li4FeSbW2O12
_chemical_formula_sum 'Li4 Fe1 Sb1 W2 O12'
_cell_length_a 5.1715
_cell_length_b 5.4547
_cell_length_c 7.5227
_cell_angle_alpha 85.90
_cell_angle_beta 89.98
_cell_angle_gamma 89.92
_space_group_name_H-M_alt 'P 1'
_space_group_IT_number 1
loop_
_space_group_symop_operation_xyz
'x,y,z'
loop_
_atom_site_label
_atom_site_fract_x
_atom_site_fract_y
_atom_site_fract_z
_atom_site_occupancy
Li1 0.0000 0.0000 0.0000 1
Li2 0.0053 0.0487 0.5585 1
Li3 0.5000 0.5671 0.0229 1
Li4 0.5068 0.5670 0.5558 1
Fe1 0.5017 0.9957 0.7564 1
Sb1 0.0048 0.4866 0.2571 1
W1 0.0007 0.4865 0.7555 1
W2 0.5058 0.9897 0.2558 1
O1 0.1365 0.4727 0.5033 1
O2 0.1796 0.1735 0.8025 1
O3 0.2004 0.7898 0.1790 1
O4 0.3064 0.6648 0.8039 1
O5 0.3169 0.2900 0.1836 1
O6 0.3808 0.9714 0.4909 1
O7 0.6197 0.9673 0.0130 1
O8 0.6846 0.6684 0.3167 1
O9 0.7056 0.2945 0.6883 1
O10 0.8093 0.7792 0.6920 1
O11 0.8184 0.1645 0.3161 1
O12 0.8759 0.4757 0.0052 1
```

Record 5
The following is a calculated X-ray powder pattern of LiSc4Fe4O12. It was derived from a DFT-relaxed cell (PBE+U, the Materials Project), using copper Kα.

Top 8 peaks for 2θ = 10–80°, by angle:
Position (°2θ)  d [Å]  I (rel.)  (hkl)
32.1  2.788  76  1 1 2
32.5  2.752  58  1 -1 2
33.0  2.717  100  1 1 -2
33.3  2.688  70  -1 1 2
35.0  2.561  28  2 0 0
45.1  2.010  29  0 0 4
48.3  1.885  31  2 2 0
49.4  1.846  23  2 -2 0

Atomic structure:
```
data_LiSc4Fe4O12
_chemical_formula_sum 'Li1 Sc4 Fe4 O12'
_cell_length_a 5.1268
_cell_length_b 5.4436
_cell_length_c 8.0465
_cell_angle_alpha 89.83
_cell_angle_beta 88.01
_cell_angle_gamma 88.81
_space_group_name_H-M_alt 'P 1'
_space_group_IT_number 1
loop_
_space_group_symop_operation_xyz
'x,y,z'
loop_
_atom_site_label
_atom_site_fract_x
_atom_site_fract_y
_atom_site_fract_z
_atom_site_occupancy
Li1 0.0000 0.0000 0.0000 1
Sc1 0.3324 0.2614 0.6003 1
Sc2 0.4364 0.1310 0.1116 1
Sc3 0.8350 0.5948 0.1039 1
Sc4 0.9073 0.7621 0.6118 1
Fe1 0.3666 0.6944 0.3488 1
Fe2 0.3827 0.7065 0.8498 1
Fe3 0.8281 0.2423 0.7998 1
Fe4 0.8804 0.1866 0.3585 1
O1 0.0497 0.2667 0.1355 1
O2 0.0697 0.5260 0.7859 1
O3 0.0746 0.4896 0.4490 1
O4 0.1775 0.9855 0.4430 1
O5 0.1780 0.0178 0.7792 1
O6 0.2117 0.7723 0.1088 1
O7 0.5337 0.6134 0.6135 1
O8 0.5654 0.4063 0.9502 1
O9 0.5760 0.3927 0.2796 1
O10 0.6778 0.8963 0.9311 1
O11 0.6788 0.8871 0.2646 1
O12 0.7027 0.1073 0.5814 1
```

Record 6
The following is a calculated X-ray powder pattern of LiSc4Fe4O12. It was derived from a DFT-relaxed cell (PBE+U, the Materials Project), using copper Kα.

Top 8 peaks for 2θ = 10–80°, by angle:
Position (°2θ)  d [Å]  I (rel.)  (hkl)
19.4  4.576  39  0 1 1
30.7  2.913  61  1 1 2
32.2  2.780  72  -1 1 2
32.8  2.734  100  1 1 -2
33.3  2.690  91  1 -1 2
34.3  2.612  57  2 0 0
38.5  2.340  51  1 2 1
40.4  2.234  63  -1 2 1

Atomic structure:
```
data_LiSc4Fe4O12
_chemical_formula_sum 'Li1 Sc4 Fe4 O12'
_cell_length_a 5.2371
_cell_length_b 5.2375
_cell_length_c 8.4367
_cell_angle_alpha 86.02
_cell_angle_beta 88.66
_cell_angle_gamma 86.80
_space_group_name_H-M_alt 'P 1'
_space_group_IT_number 1
loop_
_space_group_symop_operation_xyz
'x,y,z'
loop_
_atom_site_label
_atom_site_fract_x
_atom_site_fract_y
_atom_site_fract_z
_atom_site_occupancy
Li1 0.0000 0.0000 0.0000 1
Sc1 0.0228 0.7466 0.3747 1
Sc2 0.4531 0.2723 0.8686 1
Sc3 0.5404 0.1873 0.3003 1
Sc4 0.9179 0.6660 0.7882 1
Fe1 0.0436 0.4006 0.1386 1
Fe2 0.4241 0.8275 0.6354 1
Fe3 0.5073 0.7448 0.0758 1
Fe4 0.9640 0.2332 0.5709 1
O1 0.1487 0.0497 0.7591 1
O2 0.1625 0.5686 0.6017 1
O3 0.2158 0.5886 0.9425 1
O4 0.2587 0.0342 0.4493 1
O5 0.3174 0.0887 0.0999 1
O6 0.3450 0.5552 0.2606 1
O7 0.6301 0.9125 0.8537 1
O8 0.6712 0.4383 0.6845 1
O9 0.7266 0.4353 0.0043 1
O10 0.7473 0.9373 0.5283 1
O11 0.7902 0.9031 0.1913 1
O12 0.8577 0.3904 0.3570 1
```